For LaPm3Rh3, a DFT-relaxed cell (PBE, Alexandria) gives the theoretical X-ray diffraction stick pattern in this record (λ = 1.5418 Å (Cu Kα)).
Lines closer than 0.1° are merged.

Cell and atoms:
```
data_LaPm3Rh3
_chemical_formula_sum 'La4 Pm12 Rh12'
_cell_length_a 11.5724
_cell_length_b 11.5724
_cell_length_c 5.7325
_cell_angle_alpha 90.00
_cell_angle_beta 90.00
_cell_angle_gamma 90.00
_symmetry_space_group_name_H-M 'P 42/m n m'
_symmetry_Int_Tables_number 136
_symmetry_space_group_name_Hall '-P 4n 2n'
loop_
_atom_site_label
_atom_site_fract_x
_atom_site_fract_y
_atom_site_fract_z
La1 0.1255 0.1255 0.0000
Pm1 0.1177 0.6252 0.0000
Pm2 0.1298 0.8702 0.5000
Rh1 0.1194 0.8806 0.0000
Rh2 0.1283 0.3704 0.0000
```

Most intense lines, 10° ≤ 2θ ≤ 90°, sorted by position:
| 2θ (°) | intensity | (hkl) |
| --- | --- | --- |
| 26.77 | 24.1 | 2 2 1 |
| 30.91 | 100.0 | 4 0 0 |
| 31.21 | 49.4 | 0 0 2 |
| 44.28 | 36.5 | 4 4 0 |
| 44.50 | 72.9 | 4 0 2 |
| 55.16 | 38.0 | 4 4 2 |
| 64.41 | 11.5 | 8 0 0 |
| 73.15 | 15.6 | 8 4 0 |
| 73.31 | 15.7 | 8 0 2 |
| 73.78 | 16.1 | 4 0 4 |
| 81.65 | 23.4 | 8 4 2 |
| 82.11 | 12.0 | 4 4 4 |

For Sm7YSc2, a DFT-relaxed cell (PBE, Alexandria) gives the theoretical X-ray diffraction stick pattern in this record (λ = 1.5418 Å (Cu Kα)).
Lines closer than 0.1° are merged.

Cell and atoms:
```
data_Sm7YSc2
_chemical_formula_sum 'Sm7 Y1 Sc2'
_cell_length_a 8.6969
_cell_length_b 3.5642
_cell_length_c 10.5790
_cell_angle_alpha 90.00
_cell_angle_beta 105.40
_cell_angle_gamma 90.00
_symmetry_space_group_name_H-M 'P 1 2/m 1'
_symmetry_Int_Tables_number 10
_symmetry_space_group_name_Hall '-P 2y'
loop_
_atom_site_label
_atom_site_fract_x
_atom_site_fract_y
_atom_site_fract_z
Sm1 0.0000 0.0000 0.0000
Sm2 0.0958 0.5000 0.3122
Sm3 0.2996 0.5000 0.8903
Sm4 0.3960 0.0000 0.2015
Y1 0.5000 0.5000 0.5000
Sc1 0.2014 0.0000 0.5989
```

Most intense lines, 10° ≤ 2θ ≤ 90°, sorted by position:
| 2θ (°) | intensity | (hkl) |
| --- | --- | --- |
| 30.86 | 100.0 | 3 0 -1 |
| 35.65 | 34.3 | 2 1 1 |
| 36.04 | 16.2 | 2 0 -4 |
| 51.26 | 6.6 | 0 2 0 |
| 51.34 | 6.0 | 4 0 2 |
| 51.59 | 22.6 | 4 1 -3 |
| 61.08 | 28.1 | 5 1 0 |
| 61.60 | 12.4 | 5 0 -5 |
| 64.26 | 9.1 | 6 0 -2 |
| 75.50 | 3.8 | 4 2 2 |
| 83.71 | 4.3 | 7 0 1 |
| 84.18 | 7.8 | 7 1 -4 |

For ScBeSe4, a DFT-relaxed cell (PBE, Alexandria) gives the theoretical X-ray diffraction stick pattern in this record (λ = 1.5418 Å (Cu Kα)).
Lines closer than 0.1° are merged.

Cell and atoms:
```
data_ScBeSe4
_chemical_formula_sum 'Sc4 Be4 Se16'
_cell_length_a 7.9840
_cell_length_b 7.9840
_cell_length_c 7.9840
_cell_angle_alpha 90.00
_cell_angle_beta 90.00
_cell_angle_gamma 90.00
_symmetry_space_group_name_H-M 'F -4 3 m'
_symmetry_Int_Tables_number 216
_symmetry_space_group_name_Hall 'F -4 2 3'
loop_
_atom_site_label
_atom_site_fract_x
_atom_site_fract_y
_atom_site_fract_z
Sc1 0.0000 0.0000 0.0000
Be1 0.2500 0.2500 0.2500
Se1 0.1247 0.1247 0.6247
```

Most intense lines, 10° ≤ 2θ ≤ 90°, sorted by position:
| 2θ (°) | intensity | (hkl) |
| --- | --- | --- |
| 19.26 | 73.5 | 1 1 1 |
| 37.36 | 100.0 | 3 1 1 |
| 39.08 | 77.9 | 2 2 2 |
| 45.44 | 26.5 | 4 0 0 |
| 49.78 | 18.2 | 3 3 1 |
| 60.23 | 31.6 | 5 1 1 |
| 66.22 | 31.4 | 4 4 0 |
| 69.67 | 13.3 | 5 3 1 |
| 78.57 | 10.9 | 5 3 3 |
| 79.66 | 28.8 | 6 2 2 |
| 83.98 | 6.1 | 4 4 4 |
| 87.19 | 7.6 | 7 1 1 |

For LaPr2HoSc, a DFT-relaxed cell (PBE, Alexandria) gives the theoretical X-ray diffraction stick pattern in this record (λ = 1.5418 Å (Cu Kα)).
Lines closer than 0.1° are merged.

Cell and atoms:
```
data_LaPr2HoSc
_chemical_formula_sum 'La2 Pr4 Ho2 Sc2'
_cell_length_a 9.1030
_cell_length_b 6.3339
_cell_length_c 6.3051
_cell_angle_alpha 90.00
_cell_angle_beta 110.00
_cell_angle_gamma 90.00
_symmetry_space_group_name_H-M 'P 1 2/c 1'
_symmetry_Int_Tables_number 13
_symmetry_space_group_name_Hall '-P 2yc'
loop_
_atom_site_label
_atom_site_fract_x
_atom_site_fract_y
_atom_site_fract_z
La1 0.0000 0.0000 0.0000
Pr1 0.3128 0.3173 0.1570
Ho1 0.5000 0.1622 0.7500
Sc1 0.0000 0.4990 0.7500
```

Most intense lines, 10° ≤ 2θ ≤ 90°, sorted by position:
| 2θ (°) | intensity | (hkl) |
| --- | --- | --- |
| 25.12 | 60.0 | 2 1 0 |
| 25.32 | 62.5 | 2 1 -1 |
| 28.31 | 96.4 | 1 0 -2 |
| 30.10 | 70.7 | 1 2 0 |
| 32.06 | 100.0 | 1 2 -1 |
| 32.92 | 69.2 | 2 1 1 |
| 33.02 | 68.5 | 3 1 -1 |
| 38.13 | 36.5 | 1 1 2 |
| 38.28 | 36.3 | 3 1 -2 |
| 42.23 | 31.4 | 4 0 0 |
| 53.28 | 30.7 | 4 1 -3 |
| 54.05 | 28.4 | 3 3 0 |

For ScCr, a DFT-relaxed cell (PBE, Alexandria) gives the theoretical X-ray diffraction stick pattern in this record (λ = 1.5418 Å (Cu Kα)).
Lines closer than 0.1° are merged.

Cell and atoms:
```
data_ScCr
_chemical_formula_sum 'Sc6 Cr6'
_cell_length_a 3.1522
_cell_length_b 4.6294
_cell_length_c 14.9497
_cell_angle_alpha 90.00
_cell_angle_beta 90.00
_cell_angle_gamma 90.00
_symmetry_space_group_name_H-M 'I m m m'
_symmetry_Int_Tables_number 71
_symmetry_space_group_name_Hall '-I 2 2'
loop_
_atom_site_label
_atom_site_fract_x
_atom_site_fract_y
_atom_site_fract_z
Sc1 0.0000 0.0000 0.0000
Sc2 0.0000 0.5000 0.3152
Cr1 0.0000 0.0000 0.5000
Cr2 0.0000 0.5000 0.1208
```

Most intense lines, 10° ≤ 2θ ≤ 90°, sorted by position:
| 2θ (°) | intensity | (hkl) |
| --- | --- | --- |
| 11.84 | 26.6 | 0 0 2 |
| 20.08 | 22.2 | 0 1 1 |
| 34.42 | 20.1 | 1 1 0 |
| 35.75 | 45.0 | 0 1 5 |
| 36.05 | 20.6 | 0 0 6 |
| 36.52 | 82.4 | 1 1 2 |
| 38.91 | 63.0 | 0 2 0 |
| 41.63 | 35.5 | 1 0 5 |
| 42.28 | 100.0 | 1 1 4 |
| 58.29 | 23.5 | 1 2 5 |
| 58.57 | 16.7 | 2 0 0 |
| 72.55 | 19.7 | 2 2 0 |

For Ho2Ga6Co, a DFT-relaxed cell (PBE, Alexandria) gives the theoretical X-ray diffraction stick pattern in this record (λ = 1.5418 Å (Cu Kα)).
Lines closer than 0.1° are merged.

Cell and atoms:
```
data_Ho2Ga6Co
_chemical_formula_sum 'Ho2 Ga6 Co1'
_cell_length_a 5.8086
_cell_length_b 5.8086
_cell_length_c 5.5368
_cell_angle_alpha 90.00
_cell_angle_beta 90.00
_cell_angle_gamma 120.00
_symmetry_space_group_name_H-M 'P -3 m 1'
_symmetry_Int_Tables_number 164
_symmetry_space_group_name_Hall '-P 3 2"'
loop_
_atom_site_label
_atom_site_fract_x
_atom_site_fract_y
_atom_site_fract_z
Ho1 0.3333 0.6667 0.3364
Ga1 0.1731 0.3463 0.8089
Co1 0.0000 0.0000 0.5000
```

Most intense lines, 10° ≤ 2θ ≤ 90°, sorted by position:
| 2θ (°) | intensity | (hkl) |
| --- | --- | --- |
| 23.90 | 14.1 | 0 1 1 |
| 30.79 | 15.9 | 1 1 0 |
| 32.34 | 13.7 | 0 0 2 |
| 34.88 | 31.2 | 1 1 1 |
| 35.70 | 18.7 | 2 0 0 |
| 37.07 | 42.2 | 1 0 2 |
| 39.35 | 100.0 | 0 2 1 |
| 48.93 | 13.2 | 2 0 2 |
| 58.93 | 17.9 | 2 1 2 |
| 59.33 | 13.1 | 1 1 3 |
| 64.13 | 21.7 | 2 2 0 |
| 77.90 | 12.8 | 4 0 1 |

For NpBPbO6, a DFT-relaxed cell (PBE, Alexandria) gives the theoretical X-ray diffraction stick pattern in this record (λ = 1.5418 Å (Cu Kα)).
Lines closer than 0.1° are merged.

Cell and atoms:
```
data_NpBPbO6
_chemical_formula_sum 'Np1 B1 Pb1 O6'
_cell_length_a 4.6556
_cell_length_b 5.3575
_cell_length_c 5.5633
_cell_angle_alpha 87.56
_cell_angle_beta 65.29
_cell_angle_gamma 84.34
_symmetry_space_group_name_H-M 'P 1'
_symmetry_Int_Tables_number 1
_symmetry_space_group_name_Hall 'P 1'
loop_
_atom_site_label
_atom_site_fract_x
_atom_site_fract_y
_atom_site_fract_z
Np1 0.0000 0.0000 0.0000
B1 0.2725 0.0000 0.4553
Pb1 0.7279 0.4999 0.5459
O1 0.0259 0.8372 0.6416
O2 0.1298 0.1489 0.2964
O3 0.2243 0.7054 0.0233
O4 0.3334 0.1623 0.6413
O5 0.5737 0.8514 0.2964
O6 0.7531 0.2945 0.0209
```

Most intense lines, 10° ≤ 2θ ≤ 90°, sorted by position:
| 2θ (°) | intensity | (hkl) |
| --- | --- | --- |
| 21.09 | 64.1 | 1 0 0 |
| 24.27 | 100.0 | 0 1 1 |
| 25.75 | 67.0 | 1 1 1 |
| 28.15 | 51.6 | 1 -1 1 |
| 32.87 | 38.1 | 1 0 2 |
| 33.62 | 21.6 | 0 2 0 |
| 35.53 | 22.4 | 0 0 2 |
| 36.14 | 19.4 | 1 1 -1 |
| 44.84 | 27.7 | 2 1 0 |
| 46.24 | 19.8 | 1 2 2 |
| 47.84 | 19.1 | 2 -1 0 |
| 54.75 | 16.1 | 0 3 1 |

For Tl2ZnCd12, a DFT-relaxed cell (PBE, Alexandria) gives the theoretical X-ray diffraction stick pattern in this record (λ = 1.5418 Å (Cu Kα)).
Lines closer than 0.1° are merged.

Cell and atoms:
```
data_Tl2ZnCd12
_chemical_formula_sum 'Tl4 Zn2 Cd24'
_cell_length_a 6.0598
_cell_length_b 6.0598
_cell_length_c 20.4728
_cell_angle_alpha 90.00
_cell_angle_beta 90.00
_cell_angle_gamma 90.00
_symmetry_space_group_name_H-M 'P 4/n b m'
_symmetry_Int_Tables_number 125
loop_
_symmetry_equiv_pos_as_xyz
'x,y,z'
'-x,-y,-z'
'-y+1/2,x,z'
'y+1/2,-x,-z'
'-x+1/2,-y+1/2,z'
'x+1/2,y+1/2,-z'
'y,-x+1/2,z'
'-y,x+1/2,-z'
'x,-y+1/2,-z'
'-x,y+1/2,z'
'-y+1/2,-x+1/2,-z'
'y+1/2,x+1/2,z'
'-x+1/2,y,-z'
'x+1/2,-y,z'
'y,x,-z'
'-y,-x,z'
loop_
_atom_site_label
_atom_site_fract_x
_atom_site_fract_y
_atom_site_fract_z
Tl1 0.2500 0.7500 0.2411
Zn1 0.2500 0.7500 0.5000
Cd1 0.0004 0.9996 0.4113
Cd2 0.0751 0.5751 0.0655
Cd3 0.2500 0.2500 0.1656
Cd4 0.2500 0.2500 0.3064
```

Most intense lines, 10° ≤ 2θ ≤ 90°, sorted by position:
| 2θ (°) | intensity | (hkl) |
| --- | --- | --- |
| 26.12 | 22.3 | 0 0 6 |
| 27.14 | 40.0 | 1 1 4 |
| 30.78 | 100.0 | 2 0 2 |
| 33.57 | 42.5 | 1 1 6 |
| 34.40 | 34.3 | 2 0 4 |
| 35.65 | 13.1 | 2 1 3 |
| 37.22 | 20.3 | 1 1 7 |
| 39.79 | 24.7 | 2 0 6 |
| 41.08 | 20.0 | 1 1 8 |
| 42.18 | 50.6 | 2 2 0 |
| 50.88 | 15.5 | 3 1 4 |
| 60.34 | 29.3 | 3 1 8 |

For PrSm2Tm7, a DFT-relaxed cell (PBE, Alexandria) gives the theoretical X-ray diffraction stick pattern in this record (λ = 1.5418 Å (Cu Kα)).
Lines closer than 0.1° are merged.

Cell and atoms:
```
data_PrSm2Tm7
_chemical_formula_sum 'Pr1 Sm2 Tm7'
_cell_length_a 5.5881
_cell_length_b 6.9476
_cell_length_c 8.7400
_cell_angle_alpha 78.38
_cell_angle_beta 71.42
_cell_angle_gamma 89.93
_symmetry_space_group_name_H-M 'P -1'
_symmetry_Int_Tables_number 2
_symmetry_space_group_name_Hall '-P 1'
loop_
_atom_site_label
_atom_site_fract_x
_atom_site_fract_y
_atom_site_fract_z
Pr1 0.0000 0.0000 0.0000
Sm1 0.2156 0.8517 0.5699
Tm1 0.0000 0.5000 0.0000
Tm2 0.2099 0.3581 0.5792
Tm3 0.3984 0.2025 0.2018
Tm4 0.4030 0.6937 0.1940
```

Most intense lines, 10° ≤ 2θ ≤ 90°, sorted by position:
| 2θ (°) | intensity | (hkl) |
| --- | --- | --- |
| 30.61 | 38.3 | 0 2 -1 |
| 31.94 | 100.0 | 1 0 3 |
| 32.03 | 53.0 | 2 0 1 |
| 32.28 | 72.7 | 1 2 2 |
| 32.34 | 22.6 | 1 -2 1 |
| 37.71 | 13.8 | 1 2 -1 |
| 44.87 | 20.5 | 2 2 0 |
| 57.04 | 19.4 | 3 0 4 |
| 57.24 | 14.3 | 3 2 3 |
| 58.16 | 15.6 | 2 2 5 |
| 62.92 | 21.5 | 2 4 2 |
| 63.04 | 22.1 | 2 -4 0 |

For BaH4O6, a DFT-relaxed cell (PBE, Alexandria) gives the theoretical X-ray diffraction stick pattern in this record (λ = 1.5418 Å (Cu Kα)).
Lines closer than 0.1° are merged.

Cell and atoms:
```
data_BaH4O6
_chemical_formula_sum 'Ba4 H16 O24'
_cell_length_a 8.0761
_cell_length_b 9.5060
_cell_length_c 6.5733
_cell_angle_alpha 90.00
_cell_angle_beta 93.36
_cell_angle_gamma 90.00
_symmetry_space_group_name_H-M 'C 1 2 1'
_symmetry_Int_Tables_number 5
_symmetry_space_group_name_Hall 'C 2y'
loop_
_atom_site_label
_atom_site_fract_x
_atom_site_fract_y
_atom_site_fract_z
Ba1 0.0000 0.0000 0.0000
Ba2 0.0000 0.3618 0.5000
H1 0.0053 0.6167 0.2155
H2 0.1411 0.9962 0.5411
H3 0.1440 0.7032 0.7076
H4 0.1601 0.3745 0.0679
O1 0.0798 0.0751 0.4503
O2 0.1056 0.6056 0.7342
O3 0.1434 0.2673 0.8937
O4 0.1891 0.4546 0.1698
O5 0.1958 0.8827 0.6786
O6 0.2145 0.7936 0.1983
```

Most intense lines, 10° ≤ 2θ ≤ 90°, sorted by position:
| 2θ (°) | intensity | (hkl) |
| --- | --- | --- |
| 14.41 | 61.1 | 1 1 0 |
| 18.67 | 43.5 | 0 2 0 |
| 19.34 | 79.1 | 1 1 -1 |
| 20.23 | 100.0 | 1 1 1 |
| 22.05 | 34.1 | 2 0 0 |
| 23.11 | 30.1 | 0 2 1 |
| 30.31 | 64.9 | 1 3 0 |
| 31.47 | 39.0 | 1 1 2 |
| 34.21 | 30.8 | 2 0 -2 |
| 36.62 | 46.2 | 3 1 -1 |
| 40.37 | 36.5 | 0 4 1 |
| 41.61 | 32.2 | 1 3 2 |

For Na15Ca, a DFT-relaxed cell (PBE, Alexandria) gives the theoretical X-ray diffraction stick pattern in this record (λ = 1.5418 Å (Cu Kα)).
Lines closer than 0.1° are merged.

Cell and atoms:
```
data_Na15Ca
_chemical_formula_sum 'Na15 Ca1'
_cell_length_a 7.4984
_cell_length_b 7.4984
_cell_length_c 12.2512
_cell_angle_alpha 90.00
_cell_angle_beta 90.00
_cell_angle_gamma 120.00
_symmetry_space_group_name_H-M 'P -6 m 2'
_symmetry_Int_Tables_number 187
_symmetry_space_group_name_Hall 'P -6 2'
loop_
_atom_site_label
_atom_site_fract_x
_atom_site_fract_y
_atom_site_fract_z
Na1 0.0000 0.0000 0.0000
Na2 0.0031 0.5015 0.0000
Na3 0.3333 0.6667 0.2572
Na4 0.3347 0.1673 0.2464
Na5 0.5019 0.0039 0.5000
Ca1 0.0000 0.0000 0.5000
```

Most intense lines, 10° ≤ 2θ ≤ 90°, sorted by position:
| 2θ (°) | intensity | (hkl) |
| --- | --- | --- |
| 27.47 | 23.5 | 2 0 0 |
| 29.16 | 26.5 | 0 0 4 |
| 31.18 | 100.0 | 2 0 2 |
| 40.49 | 15.8 | 2 0 4 |
| 48.57 | 17.8 | 2 2 0 |
| 52.98 | 20.0 | 2 0 6 |
| 57.65 | 20.0 | 2 2 4 |
| 58.85 | 14.1 | 4 0 2 |
| 74.70 | 6.0 | 4 0 6 |
| 79.68 | 9.9 | 4 2 2 |
| 81.09 | 6.0 | 2 2 8 |
| 84.53 | 3.9 | 2 0 10 |

For La5GeS5, a DFT-relaxed cell (PBE, Alexandria) gives the theoretical X-ray diffraction stick pattern in this record (λ = 1.5418 Å (Cu Kα)).
Lines closer than 0.1° are merged.

Cell and atoms:
```
data_La5GeS5
_chemical_formula_sum 'La10 Ge2 S10'
_cell_length_a 13.3798
_cell_length_b 5.9338
_cell_length_c 8.4762
_cell_angle_alpha 90.00
_cell_angle_beta 108.47
_cell_angle_gamma 90.00
_symmetry_space_group_name_H-M 'C 1 2/m 1'
_symmetry_Int_Tables_number 12
_symmetry_space_group_name_Hall '-C 2y'
loop_
_atom_site_label
_atom_site_fract_x
_atom_site_fract_y
_atom_site_fract_z
La1 0.0000 0.0000 0.0000
La2 0.1611 0.5000 0.8230
La3 0.1663 0.5000 0.3382
Ge1 0.0000 0.5000 0.0000
S1 0.0000 0.5000 0.5000
S2 0.1725 0.0000 0.3298
S3 0.1758 0.0000 0.8477
```

Most intense lines, 10° ≤ 2θ ≤ 90°, sorted by position:
| 2θ (°) | intensity | (hkl) |
| --- | --- | --- |
| 11.00 | 15.3 | 0 0 1 |
| 16.49 | 18.0 | 1 1 0 |
| 25.85 | 63.6 | 3 1 0 |
| 29.84 | 100.0 | 4 0 -2 |
| 30.12 | 49.3 | 0 2 0 |
| 42.71 | 36.2 | 2 0 -4 |
| 42.91 | 72.3 | 4 2 -2 |
| 50.60 | 21.8 | 7 1 -2 |
| 53.15 | 38.7 | 2 2 -4 |
| 70.42 | 24.1 | 8 2 -4 |
| 70.90 | 15.9 | 4 4 -2 |
| 78.77 | 11.7 | 2 4 -4 |